For Pr3SmGe4, a DFT-relaxed cell (GGA-PBE, Alexandria) gives the computed powder X-ray diffraction pattern in this record (Cu Kα (λ = 1.5418 Å)).
Lines closer than 0.1° are merged.

Main lines, sorted by position (2θ = 5–70°):
| index | two_theta | intensity |
| --- | --- | --- |
| 1 1 2 | 27.49 | 100.0 |
| 1 1 4 | 33.49 | 26.4 |
| 1 0 5 | 34.72 | 20.4 |
| 0 2 4 | 35.07 | 31.5 |
| 1 2 3 | 38.57 | 26.8 |
| 2 0 0 | 43.11 | 29.2 |

Crystal structure
```
data_Pr3SmGe4
_space_group_name_H-M_alt 'I m m m'
_space_group_IT_number 71
_space_group_name_Hall '-I 2 2'
_cell_length_a 4.1967
_cell_length_b 6.5505
_cell_length_c 16.3914
_cell_angle_alpha 90.00
_cell_angle_beta 90.00
_cell_angle_gamma 90.00
loop_
_atom_site_label
_atom_site_type_symbol
_atom_site_fract_x
_atom_site_fract_y
_atom_site_fract_z
Pr1 Pr 0.0000 0.0000 0.0000
Pr2 Pr 0.0000 0.5000 0.1955
Sm1 Sm 0.0000 0.0000 0.5000
Ge1 Ge 0.0000 0.3098 0.3699
```

***

For Rb2IF5, a DFT-relaxed cell (GGA-PBE, Alexandria) gives the computed powder X-ray diffraction pattern in this record (Cu Kα (λ = 1.5418 Å)).
Lines closer than 0.1° are merged.

Main lines, sorted by position (2θ = 5–70°):
| index | two_theta | intensity |
| --- | --- | --- |
| 0 1 1 | 21.84 | 100.0 |
| 1 -1 0 | 23.43 | 73.9 |
| 1 0 -1 | 24.61 | 32.5 |
| 0 1 -2 | 25.92 | 46.2 |
| 0 2 -1 | 26.32 | 55.9 |
| 1 1 -1 | 28.65 | 37.2 |

Crystal structure
```
data_Rb2IF5
_space_group_name_H-M_alt 'P -1'
_space_group_IT_number 2
_cell_length_a 4.0800
_cell_length_b 7.0271
_cell_length_c 7.0318
_cell_angle_alpha 107.19
_cell_angle_beta 93.50
_cell_angle_gamma 101.53
loop_
_space_group_symop_operation_xyz
'x,y,z'
'-x,-y,-z'
loop_
_atom_site_label
_atom_site_type_symbol
_atom_site_fract_x
_atom_site_fract_y
_atom_site_fract_z
Rb1 Rb 0.0450 0.1725 0.3522
I1 I 0.5000 0.5000 0.0000
F1 F 0.1889 0.2193 0.9584
F2 F 0.3124 0.5154 0.7270
F3 F 0.5000 0.0000 0.5000
```

***

For Tl6Hg10Pd, a DFT-relaxed cell (GGA-PBE, Alexandria) gives the computed powder X-ray diffraction pattern in this record (Cu Kα (λ = 1.5418 Å)).
Lines closer than 0.1° are merged.

Main lines, sorted by position (2θ = 5–70°):
| index | two_theta | intensity |
| --- | --- | --- |
| 2 1 0 | 28.95 | 23.9 |
| 2 1 1 | 32.42 | 100.0 |
| 3 0 0 | 32.93 | 43.4 |
| 2 -1 2 | 34.63 | 71.8 |
| 4 -2 2 | 48.54 | 20.0 |
| 2 1 3 | 53.35 | 20.1 |

Crystal structure
```
data_Tl6Hg10Pd
_space_group_name_H-M_alt 'P -3 1 m'
_space_group_IT_number 162
_space_group_name_Hall '-P 3 2'
_cell_length_a 9.4211
_cell_length_b 9.4211
_cell_length_c 6.2018
_cell_angle_alpha 90.00
_cell_angle_beta 90.00
_cell_angle_gamma 120.00
loop_
_atom_site_label
_atom_site_type_symbol
_atom_site_fract_x
_atom_site_fract_y
_atom_site_fract_z
Tl1 Tl 0.0000 0.3919 0.2402
Hg1 Hg 0.0000 0.2335 0.7187
Hg2 Hg 0.3333 0.6667 0.0000
Hg3 Hg 0.3333 0.6667 0.5000
Pd1 Pd 0.0000 0.0000 0.0000
```

***

For K3Na8Tl2, a DFT-relaxed cell (GGA-PBE, Alexandria) gives the computed powder X-ray diffraction pattern in this record (Cu Kα (λ = 1.5418 Å)).
Lines closer than 0.1° are merged.

Main lines, sorted by position (2θ = 5–70°):
| index | two_theta | intensity |
| --- | --- | --- |
| 0 0 3 | 6.37 | 100.0 |
| 1 0 4 | 17.29 | 45.1 |
| 1 1 0 | 26.19 | 40.4 |
| 1 1 3 | 26.98 | 30.5 |
| 0 1 11 | 28.02 | 37.5 |
| 1 1 6 | 29.24 | 24.9 |

Crystal structure
```
data_K3Na8Tl2
_space_group_name_H-M_alt 'R -3 m'
_space_group_IT_number 166
_space_group_name_Hall '-R 3 2"'
_cell_length_a 6.8045
_cell_length_b 6.8045
_cell_length_c 41.6204
_cell_angle_alpha 90.00
_cell_angle_beta 90.00
_cell_angle_gamma 120.00
loop_
_atom_site_label
_atom_site_type_symbol
_atom_site_fract_x
_atom_site_fract_y
_atom_site_fract_z
K1 K 0.0000 0.0000 0.0000
K2 K 0.0000 0.0000 0.1847
Na1 Na 0.0000 0.0000 0.2854
Na2 Na 0.0006 0.5003 0.2424
Tl1 Tl 0.0000 0.0000 0.3607
```

***

For La5Ho2In4, a DFT-relaxed cell (GGA-PBE, Alexandria) gives the computed powder X-ray diffraction pattern in this record (Cu Kα (λ = 1.5418 Å)).
Lines closer than 0.1° are merged.

Main lines, sorted by position (2θ = 5–70°):
| index | two_theta | intensity |
| --- | --- | --- |
| 3 0 0 | 30.05 | 19.1 |
| 1 1 -2 | 31.93 | 29.4 |
| 1 1 2 | 32.88 | 100.0 |
| 3 0 -2 | 33.01 | 17.1 |
| 2 0 3 | 33.17 | 17.5 |
| 2 1 -2 | 36.03 | 35.4 |

Crystal structure
```
data_La5Ho2In4
_space_group_name_H-M_alt 'P 1 2/m 1'
_space_group_IT_number 10
_cell_length_a 8.9555
_cell_length_b 3.4366
_cell_length_c 10.9354
_cell_angle_alpha 90.00
_cell_angle_beta 95.10
_cell_angle_gamma 90.00
loop_
_space_group_symop_operation_xyz
'x,y,z'
'-x,-y,-z'
'-x,y,-z'
'x,-y,z'
loop_
_atom_site_label
_atom_site_type_symbol
_atom_site_fract_x
_atom_site_fract_y
_atom_site_fract_z
La1 La 0.0000 0.0000 0.0000
La2 La 0.0428 0.0000 0.3378
La3 La 0.3451 0.0000 0.8608
Ho1 Ho 0.4246 0.0000 0.3624
In1 In 0.2616 0.5000 0.5744
In2 In 0.3009 0.5000 0.1304
```

***

For Y2PaMnC4, a DFT-relaxed cell (GGA-PBE, Alexandria) gives the computed powder X-ray diffraction pattern in this record (Cu Kα (λ = 1.5418 Å)).
Lines closer than 0.1° are merged.

Main lines, sorted by position (2θ = 5–70°):
| index | two_theta | intensity |
| --- | --- | --- |
| 0 2 3 | 27.26 | 60.6 |
| 0 0 4 | 29.93 | 39.1 |
| 1 1 2 | 31.00 | 100.0 |
| 1 3 1 | 35.90 | 62.3 |
| 1 5 2 | 50.12 | 27.9 |
| 1 3 5 | 52.41 | 28.6 |

Crystal structure
```
data_Y2PaMnC4
_space_group_name_H-M_alt 'C m c m'
_space_group_IT_number 63
_space_group_name_Hall '-C 2c 2'
_cell_length_a 3.4398
_cell_length_b 11.4826
_cell_length_c 11.9408
_cell_angle_alpha 90.00
_cell_angle_beta 90.00
_cell_angle_gamma 90.00
loop_
_atom_site_label
_atom_site_type_symbol
_atom_site_fract_x
_atom_site_fract_y
_atom_site_fract_z
Y1 Y 0.0000 0.1326 0.0460
Pa1 Pa 0.0000 0.4119 0.2500
Mn1 Mn 0.0000 0.3276 0.7500
C1 C 0.0000 0.0762 0.2500
C2 C 0.0000 0.2250 0.6396
C3 C 0.0000 0.5000 0.0000
```

***

For Na3In2P3O12, a DFT-relaxed cell (GGA-PBE, Alexandria) gives the computed powder X-ray diffraction pattern in this record (Cu Kα (λ = 1.5418 Å)).
Lines closer than 0.1° are merged.

Main lines, sorted by position (2θ = 5–70°):
| index | two_theta | intensity |
| --- | --- | --- |
| 2 0 0 | 15.40 | 100.0 |
| 2 2 -1 | 21.28 | 36.6 |
| 1 1 -2 | 27.84 | 33.0 |
| 4 0 0 | 31.10 | 50.1 |
| 2 4 0 | 31.68 | 71.2 |
| 1 3 -2 | 34.10 | 67.1 |

Crystal structure
```
data_Na3In2P3O12
_space_group_name_H-M_alt 'C 1 2/c 1'
_space_group_IT_number 15
_cell_length_a 12.6280
_cell_length_b 12.9668
_cell_length_c 6.6992
_cell_angle_alpha 90.00
_cell_angle_beta 114.31
_cell_angle_gamma 90.00
loop_
_space_group_symop_operation_xyz
'x,y,z'
'-x,-y,-z'
'-x,y,-z+1/2'
'x,-y,z+1/2'
'x+1/2,y+1/2,z'
'-x+1/2,-y+1/2,-z'
'-x+1/2,y+1/2,-z+1/2'
'x+1/2,-y+1/2,z+1/2'
loop_
_atom_site_label
_atom_site_type_symbol
_atom_site_fract_x
_atom_site_fract_y
_atom_site_fract_z
Na1 Na 0.0000 0.0000 0.0000
Na2 Na 0.0000 0.2248 0.2500
Na3 Na 0.0000 0.4806 0.7500
In1 In 0.2277 0.3436 0.1548
P1 P 0.0000 0.2258 0.7500
P2 P 0.2398 0.3985 0.6341
O1 O 0.0508 0.2961 0.9557
O2 O 0.0886 0.1514 0.7177
O3 O 0.1356 0.0770 0.3279
O4 O 0.1658 0.4983 0.6207
O5 O 0.1723 0.3379 0.4168
O6 O 0.2359 0.3293 0.8254
```

***

For AcAlNi, a DFT-relaxed cell (GGA-PBE, Alexandria) gives the computed powder X-ray diffraction pattern in this record (Cu Kα (λ = 1.5418 Å)).
Lines closer than 0.1° are merged.

Main lines, sorted by position (2θ = 5–70°):
| index | two_theta | intensity |
| --- | --- | --- |
| 1 1 0 | 21.88 | 100.0 |
| 2 0 1 | 24.57 | 58.8 |
| 1 1 1 | 28.39 | 60.7 |
| 3 1 0 | 30.90 | 49.1 |
| 3 1 -1 | 32.92 | 85.8 |
| 1 1 -2 | 38.80 | 62.5 |

Crystal structure
```
data_AcAlNi
_space_group_name_H-M_alt 'C 1 2/m 1'
_space_group_IT_number 12
_cell_length_a 11.8952
_cell_length_b 4.3329
_cell_length_c 5.5002
_cell_angle_alpha 90.00
_cell_angle_beta 101.28
_cell_angle_gamma 90.00
loop_
_space_group_symop_operation_xyz
'x,y,z'
'-x,-y,-z'
'-x,y,-z'
'x,-y,z'
'x+1/2,y+1/2,z'
'-x+1/2,-y+1/2,-z'
'-x+1/2,y+1/2,-z'
'x+1/2,-y+1/2,z'
loop_
_atom_site_label
_atom_site_type_symbol
_atom_site_fract_x
_atom_site_fract_y
_atom_site_fract_z
Ac1 Ac 0.1179 0.0000 0.3162
Al1 Al 0.1071 0.5000 0.8271
Ni1 Ni 0.2077 0.0000 0.8711
```

***

For CsTcHg2F6, a DFT-relaxed cell (GGA-PBE, Alexandria) gives the computed powder X-ray diffraction pattern in this record (Cu Kα (λ = 1.5418 Å)).
Lines closer than 0.1° are merged.

Main lines, sorted by position (2θ = 5–70°):
| index | two_theta | intensity |
| --- | --- | --- |
| 1 0 1 | 19.74 | 100.0 |
| 1 1 0 | 27.92 | 74.8 |
| 0 1 2 | 28.21 | 73.3 |
| 2 0 1 | 34.43 | 42.9 |
| 0 2 2 | 40.11 | 30.7 |
| 1 2 2 | 49.57 | 34.4 |

Crystal structure
```
data_CsTcHg2F6
_space_group_name_H-M_alt 'P -3 m 1'
_space_group_IT_number 164
_space_group_name_Hall '-P 3 2"'
_cell_length_a 6.3918
_cell_length_b 6.3918
_cell_length_c 7.7108
_cell_angle_alpha 90.00
_cell_angle_beta 90.00
_cell_angle_gamma 120.00
loop_
_atom_site_label
_atom_site_type_symbol
_atom_site_fract_x
_atom_site_fract_y
_atom_site_fract_z
Cs1 Cs 0.0000 0.0000 0.0000
Tc1 Tc 0.0000 0.0000 0.5000
Hg1 Hg 0.3333 0.6667 0.2344
F1 F 0.1400 0.2801 0.6464
```

***

For NaHoAg, a DFT-relaxed cell (GGA-PBE, Alexandria) gives the computed powder X-ray diffraction pattern in this record (Cu Kα (λ = 1.5418 Å)).
Lines closer than 0.1° are merged.

Main lines, sorted by position (2θ = 5–70°):
| index | two_theta | intensity |
| --- | --- | --- |
| 0 0 1 | 9.63 | 100.0 |
| 2 0 -1 | 29.71 | 32.4 |
| 0 2 0 | 30.64 | 43.1 |
| 1 1 2 | 32.20 | 36.1 |
| 1 1 -3 | 32.65 | 27.5 |
| 2 2 -1 | 43.21 | 23.3 |

Crystal structure
```
data_NaHoAg
_space_group_name_H-M_alt 'C 1 2/m 1'
_space_group_IT_number 12
_cell_length_a 6.0149
_cell_length_b 5.8350
_cell_length_c 9.6058
_cell_angle_alpha 90.00
_cell_angle_beta 107.11
_cell_angle_gamma 90.00
loop_
_space_group_symop_operation_xyz
'x,y,z'
'-x,-y,-z'
'-x,y,-z'
'x,-y,z'
'x+1/2,y+1/2,z'
'-x+1/2,-y+1/2,-z'
'-x+1/2,y+1/2,-z'
'x+1/2,-y+1/2,z'
loop_
_atom_site_label
_atom_site_type_symbol
_atom_site_fract_x
_atom_site_fract_y
_atom_site_fract_z
Na1 Na 0.2479 0.0000 0.4908
Ho1 Ho 0.1938 0.5000 0.8817
Ag1 Ag 0.1528 0.0000 0.7888
```

***

For CeAl11Re, a DFT-relaxed cell (GGA-PBE, Alexandria) gives the computed powder X-ray diffraction pattern in this record (Cu Kα (λ = 1.5418 Å)).
Lines closer than 0.1° are merged.

Main lines, sorted by position (2θ = 5–70°):
| index | two_theta | intensity |
| --- | --- | --- |
| 0 2 0 | 13.86 | 62.1 |
| 1 1 -1 | 19.34 | 69.8 |
| 1 1 1 | 27.27 | 33.4 |
| 1 3 -1 | 27.71 | 29.7 |
| 1 3 1 | 33.84 | 34.5 |
| 0 4 2 | 39.26 | 100.0 |

Crystal structure
```
data_CeAl11Re
_space_group_name_H-M_alt 'C 1 2/m 1'
_space_group_IT_number 12
_cell_length_a 5.3029
_cell_length_b 12.7744
_cell_length_c 7.1033
_cell_angle_alpha 90.00
_cell_angle_beta 111.92
_cell_angle_gamma 90.00
loop_
_space_group_symop_operation_xyz
'x,y,z'
'-x,-y,-z'
'-x,y,-z'
'x,-y,z'
'x+1/2,y+1/2,z'
'-x+1/2,-y+1/2,-z'
'-x+1/2,y+1/2,-z'
'x+1/2,-y+1/2,z'
loop_
_atom_site_label
_atom_site_type_symbol
_atom_site_fract_x
_atom_site_fract_y
_atom_site_fract_z
Ce1 Ce 0.0000 0.0000 0.0000
Al1 Al 0.0000 0.0000 0.5000
Al2 Al 0.1064 0.3927 0.2204
Al3 Al 0.1934 0.1732 0.3593
Al4 Al 0.2500 0.2500 0.0000
Re1 Re 0.0000 0.5000 0.5000
```

***

For Nd2SiPdPt6, a DFT-relaxed cell (GGA-PBE, Alexandria) gives the computed powder X-ray diffraction pattern in this record (Cu Kα (λ = 1.5418 Å)).
Lines closer than 0.1° are merged.

Main lines, sorted by position (2θ = 5–70°):
| index | two_theta | intensity |
| --- | --- | --- |
| 2 0 -2 | 20.90 | 33.2 |
| 0 0 2 | 28.21 | 34.8 |
| 3 1 -2 | 29.19 | 32.9 |
| 2 2 0 | 39.15 | 100.0 |
| 2 2 -2 | 39.39 | 59.5 |
| 4 0 0 | 41.63 | 57.7 |

Crystal structure
```
data_Nd2SiPdPt6
_space_group_name_H-M_alt 'C 1 2/m 1'
_space_group_IT_number 12
_cell_length_a 11.6950
_cell_length_b 5.4283
_cell_length_c 8.5273
_cell_angle_alpha 90.00
_cell_angle_beta 132.09
_cell_angle_gamma 90.00
loop_
_space_group_symop_operation_xyz
'x,y,z'
'-x,-y,-z'
'-x,y,-z'
'x,-y,z'
'x+1/2,y+1/2,z'
'-x+1/2,-y+1/2,-z'
'-x+1/2,y+1/2,-z'
'x+1/2,-y+1/2,z'
loop_
_atom_site_label
_atom_site_type_symbol
_atom_site_fract_x
_atom_site_fract_y
_atom_site_fract_z
Nd1 Nd 0.2276 0.0000 0.1946
Si1 Si 0.0000 0.0000 0.5000
Pd1 Pd 0.0000 0.5000 0.0000
Pt1 Pt 0.0111 0.2538 0.7401
Pt2 Pt 0.2482 0.0000 0.5932
```